# 1
LaNd3Ge2: theoretical PXRD pattern (λ = 1.5418 Å (Cu Kα)), based on a cell relaxed with GGA-PBE.

```
data_LaNd3Ge2
_space_group_name_H-M_alt 'P -4 m 2'
_space_group_IT_number 115
_cell_length_a 4.529
_cell_length_b 4.529
_cell_length_c 8.446
_cell_angle_alpha 90.00
_cell_angle_beta 90.00
_cell_angle_gamma 90.00
loop_
_space_group_symop_operation_xyz
'x,y,z'
'y,-x,-z'
'-x,-y,z'
'-y,x,-z'
'-x,y,z'
'-y,-x,-z'
'x,-y,z'
'y,x,-z'
loop_
_atom_site_label
_atom_site_type_symbol
_atom_site_fract_x
_atom_site_fract_y
_atom_site_fract_z
La1 La 0.000 0.000 0.000
Nd1 Nd 0.000 0.500 0.361
Nd2 Nd 0.500 0.500 0.000
Ge1 Ge 0.000 0.500 0.722
```

The 10 most intense peaks (2θ from 15° to 90°), in order of rising 2θ:
- 28.91°, rel. 24
- 29.84°, rel. 100
- 31.79°, rel. 32
- 35.17°, rel. 60
- 37.62°, rel. 17
- 39.81°, rel. 49
- 51.83°, rel. 49
- 57.56°, rel. 17
- 66.19°, rel. 20
- 69.28°, rel. 16

# 2
Sr2Tl3PbO8: theoretical PXRD pattern (λ = 1.5418 Å (Cu Kα)), based on a cell relaxed with GGA-PBE.

```
data_Sr2Tl3PbO8
_space_group_name_H-M_alt 'R 3 m'
_space_group_IT_number 160
_space_group_name_Hall 'R 3 -2"'
_cell_length_a 6.9961
_cell_length_b 6.9961
_cell_length_c 17.3895
_cell_angle_alpha 90.00
_cell_angle_beta 90.00
_cell_angle_gamma 120.00
loop_
_atom_site_label
_atom_site_type_symbol
_atom_site_fract_x
_atom_site_fract_y
_atom_site_fract_z
Sr1 Sr 0.0000 0.0000 0.0000
Sr2 Sr 0.0000 0.0000 0.3799
Tl1 Tl 0.0082 0.5041 0.8811
Pb1 Pb 0.0000 0.0000 0.7602
O1 O 0.0000 0.0000 0.1417
O2 O 0.0000 0.0000 0.6202
O3 O 0.0113 0.5056 0.1397
O4 O 0.1822 0.3644 0.9513
```

The 10 most intense peaks (2θ from 15° to 90°), in order of rising 2θ:
- 15.29°, rel. 41
- 25.21°, rel. 49
- 29.62°, rel. 54
- 29.83°, rel. 92
- 29.94°, rel. 100
- 31.27°, rel. 59
- 36.14°, rel. 32
- 47.54°, rel. 34
- 51.76°, rel. 49
- 52.31°, rel. 49

# 3
BaPb2C2O6F2: theoretical PXRD pattern (λ = 1.5418 Å (Cu Kα)), based on a cell relaxed with GGA-PBE.

```
data_BaPb2C2O6F2
_space_group_name_H-M_alt 'R -3 m'
_space_group_IT_number 166
_space_group_name_Hall '-R 3 2"'
_cell_length_a 5.2390
_cell_length_b 5.2390
_cell_length_c 24.4390
_cell_angle_alpha 90.00
_cell_angle_beta 90.00
_cell_angle_gamma 120.00
loop_
_atom_site_label
_atom_site_type_symbol
_atom_site_fract_x
_atom_site_fract_y
_atom_site_fract_z
Ba1 Ba 0.0000 0.0000 0.0000
Pb1 Pb 0.0000 0.0000 0.2183
C1 C 0.0000 0.0000 0.4281
O1 O 0.0469 0.5235 0.2378
F1 F 0.0000 0.0000 0.3098
```

The 10 most intense peaks (2θ from 15° to 90°), in order of rising 2θ:
- 19.90°, rel. 22
- 20.89°, rel. 41
- 24.44°, rel. 90
- 26.81°, rel. 100
- 32.99°, rel. 36
- 34.23°, rel. 85
- 42.51°, rel. 35
- 44.01°, rel. 30
- 48.27°, rel. 57
- 56.90°, rel. 21

# 4
Hf5VGe5: theoretical PXRD pattern (λ = 1.5418 Å (Cu Kα)), based on a cell relaxed with GGA-PBE.

```
data_Hf5VGe5
_space_group_name_H-M_alt 'C 1 2/m 1'
_space_group_IT_number 12
_cell_length_a 11.840
_cell_length_b 5.318
_cell_length_c 7.498
_cell_angle_alpha 90.00
_cell_angle_beta 109.85
_cell_angle_gamma 90.00
loop_
_space_group_symop_operation_xyz
'x,y,z'
'-x,-y,-z'
'-x,y,-z'
'x,-y,z'
'x+1/2,y+1/2,z'
'-x+1/2,-y+1/2,-z'
'-x+1/2,y+1/2,-z'
'x+1/2,-y+1/2,z'
loop_
_atom_site_label
_atom_site_type_symbol
_atom_site_fract_x
_atom_site_fract_y
_atom_site_fract_z
Hf1 Hf 0.000 0.000 0.000
Hf2 Hf 0.155 0.500 0.315
Hf3 Hf 0.178 0.500 0.834
V1 V 0.000 0.000 0.500
Ge1 Ge 0.000 0.500 0.500
Ge2 Ge 0.161 0.000 0.820
Ge3 Ge 0.164 0.000 0.349
```

The 10 most intense peaks (2θ from 15° to 90°), in order of rising 2θ:
- 29.15°, rel. 52
- 29.34°, rel. 48
- 33.56°, rel. 98
- 33.71°, rel. 100
- 34.42°, rel. 90
- 48.30°, rel. 71
- 48.58°, rel. 34
- 48.94°, rel. 69
- 60.43°, rel. 35
- 60.87°, rel. 33

# 5
Tm8Si3Te4Se: theoretical PXRD pattern (λ = 1.5418 Å (Cu Kα)), based on a cell relaxed with GGA-PBE.

```
data_Tm8Si3Te4Se
_space_group_name_H-M_alt 'R -3 m'
_space_group_IT_number 166
_space_group_name_Hall '-R 3 2"'
_cell_length_a 8.3234
_cell_length_b 8.3234
_cell_length_c 20.9209
_cell_angle_alpha 90.00
_cell_angle_beta 90.00
_cell_angle_gamma 120.00
loop_
_atom_site_label
_atom_site_type_symbol
_atom_site_fract_x
_atom_site_fract_y
_atom_site_fract_z
Tm1 Tm 0.0000 0.0000 0.2391
Tm2 Tm 0.0102 0.5051 0.7609
Si1 Si 0.0000 0.5000 0.5000
Te1 Te 0.0000 0.0000 0.0000
Te2 Te 0.0000 0.5000 0.0000
Se1 Se 0.0000 0.0000 0.5000
```

The 10 most intense peaks (2θ from 15° to 90°), in order of rising 2θ:
- 26.15°, rel. 16
- 30.11°, rel. 100
- 32.80°, rel. 13
- 42.72°, rel. 33
- 43.49°, rel. 38
- 53.81°, rel. 19
- 62.60°, rel. 10
- 70.46°, rel. 11
- 71.58°, rel. 16
- 79.30°, rel. 11

# 6
Er6MgIn6: theoretical PXRD pattern (λ = 1.5418 Å (Cu Kα)), based on a cell relaxed with GGA-PBE.

```
data_Er6MgIn6
_space_group_name_H-M_alt 'P 6/m m m'
_space_group_IT_number 191
_space_group_name_Hall '-P 6 2'
_cell_length_a 6.2877
_cell_length_b 6.2877
_cell_length_c 10.4784
_cell_angle_alpha 90.00
_cell_angle_beta 90.00
_cell_angle_gamma 120.00
loop_
_atom_site_label
_atom_site_type_symbol
_atom_site_fract_x
_atom_site_fract_y
_atom_site_fract_z
Er1 Er 0.0000 0.0000 0.1731
Er2 Er 0.3333 0.6667 0.0000
Er3 Er 0.3333 0.6667 0.5000
Mg1 Mg 0.0000 0.0000 0.5000
In1 In 0.0000 0.5000 0.2515
```

The 10 most intense peaks (2θ from 15° to 90°), in order of rising 2θ:
- 28.39°, rel. 44
- 32.90°, rel. 26
- 33.23°, rel. 51
- 34.23°, rel. 24
- 37.22°, rel. 100
- 38.12°, rel. 28
- 56.89°, rel. 18
- 58.74°, rel. 27
- 60.66°, rel. 26
- 69.77°, rel. 17

# 7
CoCuSn4: theoretical PXRD pattern (λ = 1.5418 Å (Cu Kα)), based on a cell relaxed with GGA-PBE.

```
data_CoCuSn4
_space_group_name_H-M_alt 'C 1 2/c 1'
_space_group_IT_number 15
_cell_length_a 8.576
_cell_length_b 14.198
_cell_length_c 5.482
_cell_angle_alpha 90.00
_cell_angle_beta 128.18
_cell_angle_gamma 90.00
loop_
_space_group_symop_operation_xyz
'x,y,z'
'-x,-y,-z'
'-x,y,-z+1/2'
'x,-y,z+1/2'
'x+1/2,y+1/2,z'
'-x+1/2,-y+1/2,-z'
'-x+1/2,y+1/2,-z+1/2'
'x+1/2,-y+1/2,z+1/2'
loop_
_atom_site_label
_atom_site_type_symbol
_atom_site_fract_x
_atom_site_fract_y
_atom_site_fract_z
Co1 Co 0.000 0.019 0.250
Cu1 Cu 0.000 0.308 0.750
Sn1 Sn 0.143 0.160 0.127
Sn2 Sn 0.191 0.436 0.191
```

The 10 most intense peaks (2θ from 15° to 90°), in order of rising 2θ:
- 31.42°, rel. 22
- 32.17°, rel. 47
- 32.68°, rel. 100
- 33.05°, rel. 52
- 36.27°, rel. 21
- 40.01°, rel. 29
- 40.63°, rel. 21
- 43.92°, rel. 22
- 44.64°, rel. 33
- 58.80°, rel. 21

# 8
Cs3Ac3InS8: theoretical PXRD pattern (λ = 1.5418 Å (Cu Kα)), based on a cell relaxed with GGA-PBE.

```
data_Cs3Ac3InS8
_space_group_name_H-M_alt 'R -3 m'
_space_group_IT_number 166
_space_group_name_Hall '-R 3 2"'
_cell_length_a 8.7314
_cell_length_b 8.7314
_cell_length_c 24.6436
_cell_angle_alpha 90.00
_cell_angle_beta 90.00
_cell_angle_gamma 120.00
loop_
_atom_site_label
_atom_site_type_symbol
_atom_site_fract_x
_atom_site_fract_y
_atom_site_fract_z
Cs1 Cs 0.0000 0.5000 0.0000
Ac1 Ac 0.0000 0.5000 0.5000
In1 In 0.0000 0.0000 0.5000
S1 S 0.0000 0.0000 0.2307
S2 S 0.0283 0.5142 0.2264
```

The 10 most intense peaks (2θ from 15° to 90°), in order of rising 2θ:
- 21.64°, rel. 30
- 24.63°, rel. 56
- 27.68°, rel. 100
- 37.67°, rel. 37
- 41.36°, rel. 35
- 43.85°, rel. 21
- 47.15°, rel. 30
- 50.50°, rel. 18
- 62.05°, rel. 14
- 67.26°, rel. 15

# 9
Hf2Al3C5: theoretical PXRD pattern (λ = 1.5418 Å (Cu Kα)), based on a cell relaxed with GGA-PBE.

```
data_Hf2Al3C5
_space_group_name_H-M_alt 'P 63/m m c'
_space_group_IT_number 194
_space_group_name_Hall '-P 6c 2c'
_cell_length_a 3.2289
_cell_length_b 3.2289
_cell_length_c 24.3753
_cell_angle_alpha 90.00
_cell_angle_beta 90.00
_cell_angle_gamma 120.00
loop_
_atom_site_label
_atom_site_type_symbol
_atom_site_fract_x
_atom_site_fract_y
_atom_site_fract_z
Hf1 Hf 0.3333 0.6667 0.0558
Al1 Al 0.0000 0.0000 0.1527
Al2 Al 0.3333 0.6667 0.7500
C1 C 0.0000 0.0000 0.0000
C2 C 0.3333 0.6667 0.2167
C3 C 0.3333 0.6667 0.6122
```

The 10 most intense peaks (2θ from 15° to 90°), in order of rising 2θ:
- 29.31°, rel. 26
- 32.86°, rel. 23
- 33.90°, rel. 98
- 36.88°, rel. 28
- 37.06°, rel. 100
- 39.11°, rel. 28
- 41.41°, rel. 46
- 57.05°, rel. 38
- 59.34°, rel. 35
- 69.89°, rel. 27

# 10
Tb2Sm2HoEr: theoretical PXRD pattern (λ = 1.5418 Å (Cu Kα)), based on a cell relaxed with GGA-PBE.

```
data_Tb2Sm2HoEr
_space_group_name_H-M_alt 'P m m a'
_space_group_IT_number 51
_cell_length_a 6.986
_cell_length_b 5.629
_cell_length_c 9.746
_cell_angle_alpha 90.00
_cell_angle_beta 90.00
_cell_angle_gamma 90.00
loop_
_space_group_symop_operation_xyz
'x,y,z'
'-x,-y,-z'
'-x+1/2,-y,z'
'x+1/2,y,-z'
'x+1/2,-y,-z'
'-x+1/2,y,z'
'-x,y,-z'
'x,-y,z'
loop_
_atom_site_label
_atom_site_type_symbol
_atom_site_fract_x
_atom_site_fract_y
_atom_site_fract_z
Tb1 Tb 0.250 0.000 0.162
Tb2 Tb 0.250 0.500 0.670
Sm1 Sm 0.000 0.500 0.000
Sm2 Sm 0.250 0.000 0.823
Ho1 Ho 0.250 0.500 0.341
Er1 Er 0.000 0.000 0.500
```

The 10 most intense peaks (2θ from 15° to 90°), in order of rising 2θ:
- 31.51°, rel. 92
- 31.80°, rel. 100
- 45.38°, rel. 33
- 56.47°, rel. 35
- 56.66°, rel. 19
- 62.60°, rel. 29
- 66.45°, rel. 12
- 75.40°, rel. 15
- 80.79°, rel. 14
- 89.43°, rel. 11

# 11
TbNdSm2Er5: theoretical PXRD pattern (λ = 1.5418 Å (Cu Kα)), based on a cell relaxed with GGA-PBE.

```
data_TbNdSm2Er5
_space_group_name_H-M_alt 'I 4/m c m'
_space_group_IT_number 140
_space_group_name_Hall '-I 4 2c'
_cell_length_a 8.726
_cell_length_b 8.726
_cell_length_c 15.242
_cell_angle_alpha 90.00
_cell_angle_beta 90.00
_cell_angle_gamma 90.00
loop_
_atom_site_label
_atom_site_type_symbol
_atom_site_fract_x
_atom_site_fract_y
_atom_site_fract_z
Tb1 Tb 0.000 0.500 0.250
Nd1 Nd 0.000 0.000 0.250
Sm1 Sm 0.116 0.384 0.000
Er1 Er 0.000 0.000 0.000
Er2 Er 0.209 0.291 0.364
```

The 10 most intense peaks (2θ from 15° to 90°), in order of rising 2θ:
- 28.90°, rel. 99
- 31.16°, rel. 100
- 32.45°, rel. 13
- 37.44°, rel. 12
- 37.63°, rel. 17
- 43.15°, rel. 21
- 47.73°, rel. 12
- 52.70°, rel. 23
- 56.82°, rel. 20
- 80.09°, rel. 13

# 12
SrSbF5: theoretical PXRD pattern (λ = 1.5418 Å (Cu Kα)), based on a cell relaxed with GGA-PBE.

```
data_SrSbF5
_space_group_name_H-M_alt 'P b c m'
_space_group_IT_number 57
_cell_length_a 4.469
_cell_length_b 8.972
_cell_length_c 11.378
_cell_angle_alpha 90.00
_cell_angle_beta 90.00
_cell_angle_gamma 90.00
loop_
_space_group_symop_operation_xyz
'x,y,z'
'-x,-y,-z'
'-x,-y,z+1/2'
'x,y,-z+1/2'
'x,-y+1/2,-z'
'-x,y+1/2,z'
'-x,y+1/2,-z+1/2'
'x,-y+1/2,z+1/2'
loop_
_atom_site_label
_atom_site_type_symbol
_atom_site_fract_x
_atom_site_fract_y
_atom_site_fract_z
Sr1 Sr 0.001 0.250 0.000
Sb1 Sb 0.381 0.057 0.250
F1 F 0.066 0.214 0.250
F2 F 0.084 0.513 0.614
F3 F 0.485 0.703 0.111
```

The 10 most intense peaks (2θ from 15° to 90°), in order of rising 2θ:
- 21.29°, rel. 30
- 23.57°, rel. 40
- 25.31°, rel. 100
- 28.18°, rel. 16
- 29.28°, rel. 13
- 31.45°, rel. 13
- 42.73°, rel. 52
- 45.93°, rel. 10
- 48.35°, rel. 13
- 52.40°, rel. 14